# 1
This entry pairs a crystal structure of HfFe4Ge2 with its computed powder diffraction line list. Radiation: a wavelength of 1.5418 Å. Structure: the GGA-PBE geometry in Alexandria.
Kinematic intensities with the Lorentz-polarization factor, no thermal factor.

Atomic structure:
```
data_HfFe4Ge2
_chemical_formula_sum 'Hf2 Fe8 Ge4'
_cell_length_a 6.938
_cell_length_b 6.938
_cell_length_c 3.934
_cell_angle_alpha 90.00
_cell_angle_beta 90.00
_cell_angle_gamma 90.00
_space_group_name_H-M_alt 'P 42/m n m'
_space_group_IT_number 136
_space_group_name_Hall '-P 4n 2n'
loop_
_atom_site_label
_atom_site_fract_x
_atom_site_fract_y
_atom_site_fract_z
Hf1 0.000 0.000 0.000
Fe1 0.101 0.360 0.500
Ge1 0.211 0.789 0.500
```

Top 6 peaks for 2θ from 10° to 90°, sorted by position:
- hkl 2 2 0, 2θ = 36.63°, rel. 32
- hkl 2 1 1, 2θ = 36.90°, rel. 100
- hkl 3 1 0, 2θ = 41.14°, rel. 40
- hkl 2 2 1, 2θ = 43.48°, rel. 32
- hkl 0 0 2, 2θ = 46.15°, rel. 33
- hkl 3 1 1, 2θ = 47.45°, rel. 40

***

# 2
This entry pairs a crystal structure of Cs12O5F with its computed powder diffraction line list. Radiation: a wavelength of 1.5418 Å. Structure: the GGA-PBE geometry in Alexandria.
Kinematic intensities with the Lorentz-polarization factor, no thermal factor.

Atomic structure:
```
data_Cs12O5F
_chemical_formula_sum 'Cs24 O10 F2'
_cell_length_a 7.433
_cell_length_b 12.890
_cell_length_c 16.299
_cell_angle_alpha 90.00
_cell_angle_beta 90.05
_cell_angle_gamma 90.00
_space_group_name_H-M_alt 'C 1 2/m 1'
_space_group_IT_number 12
loop_
_space_group_symop_operation_xyz
'x,y,z'
'-x,-y,-z'
'-x,y,-z'
'x,-y,z'
'x+1/2,y+1/2,z'
'-x+1/2,-y+1/2,-z'
'-x+1/2,y+1/2,-z'
'x+1/2,-y+1/2,z'
loop_
_atom_site_label
_atom_site_fract_x
_atom_site_fract_y
_atom_site_fract_z
Cs1 0.152 0.000 0.097
Cs2 0.166 0.500 0.407
Cs3 0.167 0.167 0.407
Cs4 0.174 0.326 0.097
O1 0.000 0.000 0.500
O2 0.000 0.167 0.000
O3 0.000 0.333 0.500
F1 0.000 0.500 0.000
```

Top 6 peaks for 2θ from 10° to 90°, sorted by position:
- hkl 0 0 2, 2θ = 10.86°, rel. 58
- hkl 2 0 -1, 2θ = 24.56°, rel. 43
- hkl 1 3 2, 2θ = 26.34°, rel. 100
- hkl 2 0 -3, 2θ = 29.11°, rel. 46
- hkl 1 3 4, 2θ = 32.60°, rel. 39
- hkl 3 3 -1, 2θ = 42.48°, rel. 32

***

# 3
This entry pairs a crystal structure of Ho3BBr3 with its computed powder diffraction line list. Radiation: a wavelength of 1.5418 Å. Structure: the GGA-PBE geometry in Alexandria.
Kinematic intensities with the Lorentz-polarization factor, no thermal factor.

Atomic structure:
```
data_Ho3BBr3
_chemical_formula_sum 'Ho24 B8 Br24'
_cell_length_a 11.204
_cell_length_b 11.204
_cell_length_c 11.204
_cell_angle_alpha 90.00
_cell_angle_beta 90.00
_cell_angle_gamma 90.00
_space_group_name_H-M_alt 'I 41 3 2'
_space_group_IT_number 214
_space_group_name_Hall 'I 4bd 2c 3'
loop_
_atom_site_label
_atom_site_fract_x
_atom_site_fract_y
_atom_site_fract_z
Ho1 0.104 0.354 0.125
B1 0.125 0.125 0.125
Br1 0.117 0.133 0.625
```

Top 6 peaks for 2θ from 10° to 90°, sorted by position:
- hkl 1 1 0, 2θ = 11.17°, rel. 29
- hkl 3 2 1, 2θ = 29.84°, rel. 54
- hkl 4 0 0, 2θ = 31.95°, rel. 100
- hkl 3 3 2, 2θ = 37.66°, rel. 31
- hkl 4 4 0, 2θ = 45.81°, rel. 64
- hkl 7 2 1, 2θ = 60.75°, rel. 24

***

# 4
This entry pairs a crystal structure of Na3Al2P2O8F3 with its computed powder diffraction line list. Radiation: a wavelength of 1.5418 Å. Structure: the GGA-PBE geometry in Alexandria.
Kinematic intensities with the Lorentz-polarization factor, no thermal factor.

Atomic structure:
```
data_Na3Al2P2O8F3
_chemical_formula_sum 'Na12 Al8 P8 O32 F12'
_cell_length_a 10.527
_cell_length_b 8.874
_cell_length_c 8.857
_cell_angle_alpha 90.00
_cell_angle_beta 90.00
_cell_angle_gamma 90.00
_space_group_name_H-M_alt 'C m c 21'
_space_group_IT_number 36
loop_
_space_group_symop_operation_xyz
'x,y,z'
'-x,-y,z+1/2'
'-x,y,z'
'x,-y,z+1/2'
'x+1/2,y+1/2,z'
'-x+1/2,-y+1/2,z+1/2'
'-x+1/2,y+1/2,z'
'x+1/2,-y+1/2,z+1/2'
loop_
_atom_site_label
_atom_site_fract_x
_atom_site_fract_y
_atom_site_fract_z
Na1 0.000 0.025 0.000
Na2 0.000 0.275 0.769
Na3 0.000 0.372 0.146
Al1 0.179 0.254 0.484
P1 0.246 0.002 0.738
O1 0.158 0.103 0.641
O2 0.160 0.096 0.340
O3 0.162 0.399 0.332
O4 0.166 0.405 0.637
F1 0.000 0.253 0.491
F2 0.145 0.246 0.983
```

Top 6 peaks for 2θ from 10° to 90°, sorted by position:
- hkl 2 0 0, 2θ = 16.84°, rel. 51
- hkl 2 2 0, 2θ = 26.28°, rel. 33
- hkl 0 2 2, 2θ = 28.48°, rel. 89
- hkl 2 2 2, 2θ = 33.27°, rel. 100
- hkl 3 1 3, 2θ = 41.22°, rel. 56
- hkl 0 4 4, 2θ = 58.93°, rel. 38

***

# 5
This entry pairs a crystal structure of Mg2AsPtO6 with its computed powder diffraction line list. Radiation: a wavelength of 1.5418 Å. Structure: the GGA-PBE geometry in Alexandria.
Kinematic intensities with the Lorentz-polarization factor, no thermal factor.

Atomic structure:
```
data_Mg2AsPtO6
_chemical_formula_sum 'Mg2 As1 Pt1 O6'
_cell_length_a 5.337
_cell_length_b 5.337
_cell_length_c 4.458
_cell_angle_alpha 90.00
_cell_angle_beta 90.00
_cell_angle_gamma 90.00
_space_group_name_H-M_alt 'P 4 m m'
_space_group_IT_number 99
loop_
_space_group_symop_operation_xyz
'x,y,z'
'-y,x,z'
'-x,-y,z'
'y,-x,z'
'-x,y,z'
'y,x,z'
'x,-y,z'
'-y,-x,z'
loop_
_atom_site_label
_atom_site_fract_x
_atom_site_fract_y
_atom_site_fract_z
Mg1 0.000 0.500 0.000
As1 0.000 0.000 0.644
Pt1 0.500 0.500 0.688
O1 0.000 0.000 0.264
O2 0.234 0.234 0.786
O3 0.500 0.500 0.200
```

Top 6 peaks for 2θ from 10° to 90°, sorted by position:
- hkl 0 0 1, 2θ = 19.91°, rel. 82
- hkl 1 1 0, 2θ = 23.58°, rel. 91
- hkl 1 1 1, 2θ = 31.05°, rel. 100
- hkl 2 0 0, 2θ = 33.59°, rel. 48
- hkl 1 1 2, 2θ = 47.36°, rel. 45
- hkl 2 2 0, 2θ = 48.23°, rel. 35

***

# 6
This entry pairs a crystal structure of Th2Ge3Os with its computed powder diffraction line list. Radiation: a wavelength of 1.5418 Å. Structure: the GGA-PBE geometry in Alexandria.
Kinematic intensities with the Lorentz-polarization factor, no thermal factor.

Atomic structure:
```
data_Th2Ge3Os
_chemical_formula_sum 'Th16 Ge24 Os8'
_cell_length_a 8.362
_cell_length_b 8.606
_cell_length_c 14.717
_cell_angle_alpha 90.00
_cell_angle_beta 90.00
_cell_angle_gamma 90.00
_space_group_name_H-M_alt 'F m m m'
_space_group_IT_number 69
_space_group_name_Hall '-F 2 2'
loop_
_atom_site_label
_atom_site_fract_x
_atom_site_fract_y
_atom_site_fract_z
Th1 0.239 0.000 0.000
Th2 0.250 0.250 0.250
Ge1 0.000 0.000 0.329
Ge2 0.000 0.247 0.415
Os1 0.000 0.000 0.163
```

Top 6 peaks for 2θ from 10° to 90°, sorted by position:
- hkl 2 2 2, 2θ = 32.24°, rel. 100
- hkl 2 0 4, 2θ = 32.41°, rel. 52
- hkl 0 4 0, 2θ = 42.00°, rel. 22
- hkl 0 2 6, 2θ = 42.42°, rel. 42
- hkl 2 4 4, 2θ = 54.03°, rel. 25
- hkl 4 2 6, 2θ = 62.21°, rel. 27

***

# 7
This entry pairs a crystal structure of AcYIrO6 with its computed powder diffraction line list. Radiation: a wavelength of 1.5418 Å. Structure: the GGA-PBE geometry in Alexandria.
Kinematic intensities with the Lorentz-polarization factor, no thermal factor.

Atomic structure:
```
data_AcYIrO6
_chemical_formula_sum 'Ac2 Y2 Ir2 O12'
_cell_length_a 5.8258
_cell_length_b 5.8258
_cell_length_c 8.9586
_cell_angle_alpha 90.00
_cell_angle_beta 90.00
_cell_angle_gamma 120.00
_space_group_name_H-M_alt 'P -3 1 c'
_space_group_IT_number 163
_space_group_name_Hall '-P 3 2c'
loop_
_atom_site_label
_atom_site_fract_x
_atom_site_fract_y
_atom_site_fract_z
Ac1 0.3333 0.6667 0.2500
Y1 0.0000 0.0000 0.0000
Ir1 0.3333 0.6667 0.7500
O1 0.0688 0.3755 0.6265
```

Top 6 peaks for 2θ from 10° to 90°, sorted by position:
- hkl 0 0 2, 2θ = 19.82°, rel. 39
- hkl 1 0 2, 2θ = 26.61°, rel. 100
- hkl 1 1 0, 2θ = 30.69°, rel. 82
- hkl 1 1 2, 2θ = 36.81°, rel. 52
- hkl 1 1 4, 2θ = 51.47°, rel. 55
- hkl 2 1 2, 2θ = 52.13°, rel. 32

***

# 8
This entry pairs a crystal structure of TbGe3Ir3 with its computed powder diffraction line list. Radiation: a wavelength of 1.5418 Å. Structure: the GGA-PBE geometry in Alexandria.
Kinematic intensities with the Lorentz-polarization factor, no thermal factor.

Atomic structure:
```
data_TbGe3Ir3
_chemical_formula_sum 'Tb6 Ge18 Ir18'
_cell_length_a 6.8843
_cell_length_b 6.8843
_cell_length_c 20.6822
_cell_angle_alpha 90.00
_cell_angle_beta 90.00
_cell_angle_gamma 120.00
_space_group_name_H-M_alt 'R -3'
_space_group_IT_number 148
_space_group_name_Hall '-R 3'
loop_
_atom_site_label
_atom_site_fract_x
_atom_site_fract_y
_atom_site_fract_z
Tb1 0.0000 0.0000 0.1719
Ge1 0.0297 0.4230 0.0628
Ir1 0.0127 0.2514 0.9438
```

Top 6 peaks for 2θ from 10° to 90°, sorted by position:
- hkl 1 0 1, 2θ = 15.47°, rel. 88
- hkl 2 -1 3, 2θ = 28.99°, rel. 100
- hkl 1 1 6, 2θ = 36.90°, rel. 68
- hkl 0 0 9, 2θ = 39.20°, rel. 59
- hkl 3 -2 2, 2θ = 40.99°, rel. 85
- hkl 3 -1 4, 2θ = 43.83°, rel. 69

***

# 9
This entry pairs a crystal structure of Sm3BiO2 with its computed powder diffraction line list. Radiation: a wavelength of 1.5418 Å. Structure: the GGA-PBE geometry in Alexandria.
Kinematic intensities with the Lorentz-polarization factor, no thermal factor.

Atomic structure:
```
data_Sm3BiO2
_chemical_formula_sum 'Sm6 Bi2 O4'
_cell_length_a 4.686
_cell_length_b 4.686
_cell_length_c 11.849
_cell_angle_alpha 90.00
_cell_angle_beta 90.00
_cell_angle_gamma 90.00
_space_group_name_H-M_alt 'I 4/m m m'
_space_group_IT_number 139
_space_group_name_Hall '-I 4 2'
loop_
_atom_site_label
_atom_site_fract_x
_atom_site_fract_y
_atom_site_fract_z
Sm1 0.000 0.000 0.000
Sm2 0.000 0.500 0.250
Bi1 0.000 0.000 0.500
O1 0.000 0.000 0.203
```

Top 6 peaks for 2θ from 10° to 90°, sorted by position:
- hkl 0 0 4, 2θ = 30.17°, rel. 30
- hkl 1 1 2, 2θ = 30.92°, rel. 100
- hkl 2 0 0, 2θ = 38.42°, rel. 34
- hkl 2 0 4, 2θ = 49.61°, rel. 31
- hkl 1 1 6, 2θ = 54.06°, rel. 23
- hkl 3 1 2, 2θ = 64.86°, rel. 25

***

# 10
This entry pairs a crystal structure of HoGe3Rh with its computed powder diffraction line list. Radiation: a wavelength of 1.5418 Å. Structure: the GGA-PBE geometry in Alexandria.
Kinematic intensities with the Lorentz-polarization factor, no thermal factor.

Atomic structure:
```
data_HoGe3Rh
_chemical_formula_sum 'Ho2 Ge6 Rh2'
_cell_length_a 5.967
_cell_length_b 5.596
_cell_length_c 5.821
_cell_angle_alpha 90.00
_cell_angle_beta 90.00
_cell_angle_gamma 90.00
_space_group_name_H-M_alt 'P m n 21'
_space_group_IT_number 31
loop_
_space_group_symop_operation_xyz
'x,y,z'
'-x+1/2,-y,z+1/2'
'-x,y,z'
'x+1/2,-y,z+1/2'
loop_
_atom_site_label
_atom_site_fract_x
_atom_site_fract_y
_atom_site_fract_z
Ho1 0.000 0.150 0.000
Ge1 0.000 0.904 0.570
Ge2 0.236 0.315 0.455
Rh1 0.000 0.620 0.264
```

Top 6 peaks for 2θ from 10° to 90°, sorted by position:
- hkl 1 1 1, 2θ = 26.67°, rel. 33
- hkl 0 2 1, 2θ = 35.60°, rel. 61
- hkl 2 1 1, 2θ = 37.49°, rel. 100
- hkl 1 1 2, 2θ = 37.97°, rel. 33
- hkl 2 1 2, 2θ = 46.52°, rel. 36
- hkl 2 3 2, 2θ = 67.40°, rel. 28

***

# 11
This entry pairs a crystal structure of Tm5Pd6 with its computed powder diffraction line list. Radiation: a wavelength of 1.5418 Å. Structure: the GGA-PBE geometry in Alexandria.
Kinematic intensities with the Lorentz-polarization factor, no thermal factor.

Atomic structure:
```
data_Tm5Pd6
_chemical_formula_sum 'Tm10 Pd12'
_cell_length_a 14.981
_cell_length_b 6.961
_cell_length_c 4.808
_cell_angle_alpha 90.00
_cell_angle_beta 106.92
_cell_angle_gamma 90.00
_space_group_name_H-M_alt 'C 1 2/m 1'
_space_group_IT_number 12
loop_
_space_group_symop_operation_xyz
'x,y,z'
'-x,-y,-z'
'-x,y,-z'
'x,-y,z'
'x+1/2,y+1/2,z'
'-x+1/2,-y+1/2,-z'
'-x+1/2,y+1/2,-z'
'x+1/2,-y+1/2,z'
loop_
_atom_site_label
_atom_site_fract_x
_atom_site_fract_y
_atom_site_fract_z
Tm1 0.000 0.000 0.000
Tm2 0.144 0.500 0.658
Tm3 0.175 0.000 0.674
Pd1 0.000 0.218 0.500
Pd2 0.176 0.231 0.181
```

Top 6 peaks for 2θ from 10° to 90°, sorted by position:
- hkl 5 1 0, 2θ = 33.82°, rel. 13
- hkl 2 2 1, 2θ = 36.72°, rel. 70
- hkl 2 0 -2, 2θ = 37.37°, rel. 100
- hkl 6 0 0, 2θ = 37.65°, rel. 28
- hkl 0 4 0, 2θ = 52.59°, rel. 11
- hkl 0 2 3, 2θ = 66.65°, rel. 12